[1]
Starting from DFT lattice parameters and positions (GGA-PBE), the XRD peak list of Li6La2Au3 was computed for Cu Ka.
Peak positions follow from Bragg's law for the DFT cell and can differ from measured ones.

Cell: 8.1620 8.1620 4.1028 Å, 90.00 90.00 120.00°
Space group P-62m (No. 189)
Symmetry-distinct sites (fractional):
1 Li 0.0000 0.2636 0.0000
2 Li 0.0000 0.7972 0.5000
3 La 0.3333 0.6667 0.5000
4 Au 0.0000 0.5970 0.0000

Largest 10 diffraction maxima, sorted by position, 10° ≤ 2θ ≤ 80°:
2theta, d/Å, I_rel, (hkl)
12.52, 7.068, 58, 1 0 0
21.78, 4.081, 44, 1 1 0
30.91, 2.893, 100, 1 1 1
33.49, 2.676, 60, 2 0 1
38.20, 2.356, 21, 3 0 0
40.28, 2.239, 20, 2 1 1
46.31, 1.960, 26, 3 1 0
51.68, 1.769, 23, 3 1 1
65.90, 1.417, 19, 3 1 2
70.47, 1.336, 19, 5 0 1



[2]
Starting from DFT lattice parameters and positions (GGA-PBE), the XRD peak list of Sr5Mo2P7 was computed for Cu Ka.
Peak positions follow from Bragg's law for the DFT cell and can differ from measured ones.

Cell: 7.509 10.576 10.688 Å, 114.57 99.07 91.08°
Space group P-1 (No. 2)
Symmetry-distinct sites (fractional):
1 Sr 0.090 0.227 0.090
2 Sr 0.221 0.006 0.388
3 Sr 0.228 0.407 0.845
4 Sr 0.350 0.592 0.346
5 Sr 0.375 0.849 0.771
6 Mo 0.075 0.365 0.477
7 Mo 0.385 0.783 0.094
8 P 0.079 0.807 0.498
9 P 0.103 0.573 0.685
10 P 0.140 0.661 0.109
11 P 0.264 0.965 0.057
12 P 0.340 0.301 0.399
13 P 0.422 0.134 0.696
14 P 0.467 0.353 0.085

Largest 10 diffraction maxima, sorted by position, 10° ≤ 2θ ≤ 80°:
2theta, d/Å, I_rel, (hkl)
23.95, 3.715, 55, 1 0 2
24.10, 3.692, 100, 0 2 1
25.37, 3.510, 61, 0 3 -1
26.31, 3.387, 90, 1 1 -3
28.55, 3.126, 89, 1 3 -2
29.59, 3.019, 59, 2 2 -1
30.31, 2.948, 62, 1 -2 3
31.04, 2.882, 51, -2 1 2
31.93, 2.803, 72, -1 2 2
32.57, 2.749, 74, 1 0 3



[3]
Starting from DFT lattice parameters and positions (GGA-PBE), the XRD peak list of B5C3 was computed for Cu Ka.
Peak positions follow from Bragg's law for the DFT cell and can differ from measured ones.

Cell: 5.187 5.395 4.113 Å, 90.00 90.00 90.00°
Space group Cmm2 (No. 35)
Symmetry-distinct sites (fractional):
1 B 0.000 0.000 0.000
2 B 0.000 0.281 0.691
3 B 0.250 0.250 0.387
4 C 0.000 0.500 0.959
5 C 0.236 0.500 0.173

Largest 10 diffraction maxima, sorted by position, 10° ≤ 2θ ≤ 80°:
2theta, d/Å, I_rel, (hkl)
21.61, 4.113, 36, 0 0 1
23.80, 3.739, 13, 1 1 0
39.97, 2.256, 100, 0 2 1
41.15, 2.194, 87, 2 0 1
56.25, 1.635, 6, 0 2 2
67.74, 1.383, 47, 2 2 2
69.72, 1.349, 12, 0 4 0
72.95, 1.297, 11, 4 0 0
78.22, 1.222, 6, 0 2 3
79.00, 1.212, 7, 2 0 3



[4]
Starting from DFT lattice parameters and positions (GGA-PBE), the XRD peak list of LiLa2Zn2 was computed for Cu Ka.
Peak positions follow from Bragg's law for the DFT cell and can differ from measured ones.

Cell: 9.569 5.044 11.124 Å, 90.00 114.47 90.00°
Space group C2/m (No. 12)
Symmetry-distinct sites (fractional):
1 Li 0.178 0.000 0.381
2 La 0.110 0.500 0.904
3 La 0.173 0.000 0.684
4 Zn 0.055 0.500 0.412
5 Zn 0.088 0.000 0.126

Largest 10 diffraction maxima, sorted by position, 10° ≤ 2θ ≤ 80°:
2theta, d/Å, I_rel, (hkl)
24.00, 3.708, 19, 1 1 -2
29.67, 3.011, 100, 1 1 2
29.92, 2.987, 24, 1 1 -3
32.74, 2.735, 34, 2 0 -4
33.47, 2.677, 37, 3 1 -1
33.61, 2.667, 67, 3 1 -2
35.61, 2.521, 56, 0 2 0
49.14, 1.854, 22, 2 2 -4
60.32, 1.535, 15, 1 3 2
62.64, 1.483, 17, 3 3 -2



[5]
Starting from DFT lattice parameters and positions (GGA-PBE), the XRD peak list of La3Ga2Ni2 was computed for Cu Ka.
Peak positions follow from Bragg's law for the DFT cell and can differ from measured ones.

Cell: 5.759 8.338 13.192 Å, 90.00 90.00 90.00°
Space group Pbcm (No. 57)
Symmetry-distinct sites (fractional):
1 La 0.160 0.101 0.096
2 La 0.333 0.749 0.250
3 Ga 0.176 0.104 0.750
4 Ga 0.353 0.750 0.000
5 Ni 0.390 0.035 0.588

Largest 10 diffraction maxima, sorted by position, 10° ≤ 2θ ≤ 80°:
2theta, d/Å, I_rel, (hkl)
27.68, 3.223, 36, 1 1 3
29.53, 3.025, 47, 0 2 3
32.91, 2.722, 58, 2 1 0
33.09, 2.707, 60, 1 1 4
33.46, 2.678, 42, 1 2 3
34.68, 2.586, 44, 0 2 4
35.88, 2.503, 100, 1 3 0
38.91, 2.314, 82, 2 1 3
41.05, 2.199, 35, 0 0 6
55.64, 1.652, 29, 1 3 6



[6]
Starting from DFT lattice parameters and positions (GGA-PBE), the XRD peak list of Cu6SnO12 was computed for Cu Ka.
Peak positions follow from Bragg's law for the DFT cell and can differ from measured ones.

Cell: 7.652 7.652 7.652 Å, 90.00 90.00 90.00°
Space group Im-3 (No. 204)
Symmetry-distinct sites (fractional):
1 Cu 0.000 0.163 0.500
2 Sn 0.000 0.000 0.000
3 O 0.000 0.342 0.153

Largest 10 diffraction maxima, sorted by position, 10° ≤ 2θ ≤ 80°:
2theta, d/Å, I_rel, (hkl)
23.25, 3.826, 80, 2 0 0
28.57, 3.124, 39, 2 1 1
37.15, 2.420, 10, 3 1 0
44.29, 2.045, 100, 3 1 2
50.61, 1.804, 12, 4 1 1
61.82, 1.501, 41, 4 3 1
66.98, 1.397, 9, 5 1 2
74.38, 1.275, 10, 6 0 0
76.78, 1.241, 14, 5 2 3
79.16, 1.210, 9, 6 0 2



Please write out number 2 again, unchanged.
Starting from DFT lattice parameters and positions (GGA-PBE), the XRD peak list of Sr5Mo2P7 was computed for Cu Ka.
Peak positions follow from Bragg's law for the DFT cell and can differ from measured ones.

Cell: 7.509 10.576 10.688 Å, 114.57 99.07 91.08°
Space group P-1 (No. 2)
Symmetry-distinct sites (fractional):
1 Sr 0.090 0.227 0.090
2 Sr 0.221 0.006 0.388
3 Sr 0.228 0.407 0.845
4 Sr 0.350 0.592 0.346
5 Sr 0.375 0.849 0.771
6 Mo 0.075 0.365 0.477
7 Mo 0.385 0.783 0.094
8 P 0.079 0.807 0.498
9 P 0.103 0.573 0.685
10 P 0.140 0.661 0.109
11 P 0.264 0.965 0.057
12 P 0.340 0.301 0.399
13 P 0.422 0.134 0.696
14 P 0.467 0.353 0.085

Largest 10 diffraction maxima, sorted by position, 10° ≤ 2θ ≤ 80°:
2theta, d/Å, I_rel, (hkl)
23.95, 3.715, 55, 1 0 2
24.10, 3.692, 100, 0 2 1
25.37, 3.510, 61, 0 3 -1
26.31, 3.387, 90, 1 1 -3
28.55, 3.126, 89, 1 3 -2
29.59, 3.019, 59, 2 2 -1
30.31, 2.948, 62, 1 -2 3
31.04, 2.882, 51, -2 1 2
31.93, 2.803, 72, -1 2 2
32.57, 2.749, 74, 1 0 3